Structure and simulated powder XRD pattern of CdSO4 (a cell relaxed with PBE; Cu Ka).
Lines closer than 0.1° are merged.

Structure:
```
CdSO4
1.0
5.883 -2.797 0.000
5.883 2.797 0.000
-0.602 0.000 7.451
Cd S O
2 2 8
Direct
0.000 0.000 0.000
0.000 0.000 0.500
0.251 0.251 0.767
0.749 0.749 0.233
0.011 0.568 0.312
0.058 0.058 0.256
0.330 0.330 0.924
0.432 0.989 0.688
0.568 0.011 0.312
0.670 0.670 0.076
0.942 0.942 0.744
0.989 0.432 0.688
```

Most intense lines, 15 to 90 degrees two-theta, low angle first:
d [Å]	intensity
5.049	100.0
3.266	34.1
3.204	39.9
3.036	15.3
2.949	20.2
2.932	22.0
2.797	16.7
2.524	14.1
2.513	16.4
2.354	12.0

***

Structure and simulated powder XRD pattern of Cd2SO6 (a cell relaxed with PBE; Cu Ka).
Lines closer than 0.1° are merged.

Structure:
```
Cd2SO6
1.0
7.018 0.000 0.000
0.000 7.400 0.000
-5.872 0.000 10.256
Cd S O
8 4 24
Direct
0.155 0.028 0.176
0.155 0.472 0.676
0.317 0.165 0.504
0.317 0.335 0.004
0.683 0.665 0.996
0.683 0.835 0.496
0.845 0.528 0.324
0.845 0.972 0.824
0.307 0.003 0.780
0.307 0.497 0.280
0.693 0.503 0.720
0.693 0.997 0.220
0.035 0.172 0.982
0.035 0.328 0.482
0.163 0.608 0.312
0.163 0.892 0.812
0.237 0.516 0.140
0.237 0.984 0.640
0.294 0.199 0.810
0.294 0.301 0.310
0.336 0.563 0.881
0.336 0.937 0.381
0.461 0.060 0.137
0.461 0.440 0.637
0.539 0.560 0.363
0.539 0.940 0.863
0.664 0.063 0.619
0.664 0.437 0.119
0.706 0.699 0.690
0.706 0.801 0.190
0.763 0.016 0.360
0.763 0.484 0.860
0.837 0.108 0.188
0.837 0.392 0.688
0.965 0.672 0.518
0.965 0.828 0.018
```

Most intense lines, 15 to 90 degrees two-theta, low angle first:
d [Å]	intensity
5.075	46.8
4.702	65.8
4.409	26.9
3.700	18.1
3.104	100.0
3.045	23.4
3.001	42.8
2.745	21.9
2.735	21.0
2.538	28.0

***

Structure and simulated powder XRD pattern of Cd2Sb2O7 (a cell relaxed with PBE; Cu Ka).
Lines closer than 0.1° are merged.

Structure:
```
Cd2Sb2O7
1.0
-3.671 5.183 3.752
3.671 -5.183 3.752
3.671 5.183 -3.752
Cd Sb O
4 4 14
Direct
0.000 0.000 0.000
0.500 0.000 0.000
0.500 0.000 0.500
0.500 0.500 0.500
0.000 0.000 0.500
0.000 0.500 0.000
0.000 0.500 0.500
0.500 0.500 0.000
0.055 0.229 0.410
0.055 0.645 0.825
0.098 0.848 0.250
0.320 0.229 0.675
0.320 0.645 0.090
0.333 0.736 0.597
0.361 0.264 0.097
0.639 0.736 0.903
0.667 0.264 0.403
0.680 0.355 0.910
0.680 0.771 0.325
0.902 0.152 0.750
0.945 0.355 0.175
0.945 0.771 0.590
```

Most intense lines, 15 to 90 degrees two-theta, low angle first:
d [Å]	intensity
3.039	100.0
2.996	92.3
2.624	46.5
2.592	23.0
1.876	13.1
1.844	57.1
1.835	15.2
1.590	30.5
1.570	41.2
1.563	11.9

***

Structure and simulated powder XRD pattern of Cd2Sb2O7 (a cell relaxed with PBE; Cu Ka).
Lines closer than 0.1° are merged.

Structure:
```
Cd2Sb2O7
1.0
0.000 5.224 5.224
5.224 0.000 5.224
5.224 5.224 0.000
Cd Sb O
4 4 14
Direct
0.000 0.000 0.000
0.000 0.000 0.500
0.000 0.500 0.000
0.500 0.000 0.000
0.000 0.500 0.500
0.500 0.000 0.500
0.500 0.500 0.000
0.500 0.500 0.500
0.125 0.125 0.125
0.176 0.176 0.574
0.176 0.574 0.176
0.176 0.574 0.574
0.426 0.426 0.824
0.426 0.824 0.426
0.426 0.824 0.824
0.574 0.176 0.176
0.574 0.176 0.574
0.574 0.574 0.176
0.824 0.426 0.426
0.824 0.426 0.824
0.824 0.824 0.426
0.875 0.875 0.875
```

Most intense lines, 15 to 90 degrees two-theta, low angle first:
d [Å]	intensity
3.016	100.0
2.612	32.5
2.397	0.9
2.011	0.8
1.847	45.2
1.575	41.5
1.508	10.2
1.306	6.4
1.199	16.6
1.168	14.0

***

Structure and simulated powder XRD pattern of CdSe2O9 (a cell relaxed with PBE; Cu Ka).
Lines closer than 0.1° are merged.

Structure:
```
CdSe2O9
1.0
9.017 0.000 0.000
0.000 5.286 0.000
-5.792 0.000 15.784
Cd Se O
4 8 36
Direct
0.240 0.242 0.479
0.240 0.258 0.979
0.760 0.742 0.021
0.760 0.758 0.521
0.013 0.234 0.126
0.013 0.266 0.626
0.460 0.740 0.612
0.460 0.760 0.112
0.540 0.240 0.888
0.540 0.260 0.388
0.987 0.734 0.374
0.987 0.766 0.874
0.011 0.044 0.390
0.011 0.456 0.890
0.104 0.094 0.064
0.104 0.406 0.564
0.135 0.186 0.227
0.135 0.314 0.727
0.161 0.589 0.394
0.161 0.911 0.894
0.267 0.657 0.752
0.267 0.843 0.252
0.291 0.611 0.061
0.291 0.889 0.561
0.384 0.103 0.396
0.384 0.397 0.896
0.457 0.059 0.080
0.457 0.441 0.580
0.482 0.735 0.718
0.482 0.765 0.218
0.518 0.235 0.782
0.518 0.265 0.282
0.543 0.559 0.420
0.543 0.941 0.920
0.616 0.603 0.104
0.616 0.897 0.604
0.709 0.111 0.439
0.709 0.389 0.939
0.733 0.157 0.748
0.733 0.343 0.248
0.839 0.089 0.106
0.839 0.411 0.606
0.865 0.686 0.273
0.865 0.814 0.773
0.896 0.594 0.436
0.896 0.906 0.936
0.989 0.544 0.110
0.989 0.956 0.610
```

Most intense lines, 15 to 90 degrees two-theta, low angle first:
d [Å]	intensity
4.484	17.9
4.417	14.9
4.243	10.3
3.625	100.0
3.563	51.9
2.643	17.9
2.613	28.6
2.490	18.0
2.475	22.6
2.123	16.7

***

Structure and simulated powder XRD pattern of Cd3Se4O12 (a cell relaxed with PBE; Cu Ka).
Lines closer than 0.1° are merged.

Structure:
```
Cd3Se4O12
1.0
9.487 0.000 0.000
0.000 9.536 0.000
-2.902 0.000 6.836
Cd Se O
6 8 24
Direct
0.000 0.000 0.000
0.000 0.500 0.500
0.159 0.129 0.618
0.159 0.371 0.118
0.841 0.629 0.882
0.841 0.871 0.382
0.206 0.666 0.958
0.206 0.834 0.458
0.385 0.115 0.132
0.385 0.385 0.632
0.615 0.615 0.368
0.615 0.885 0.868
0.794 0.166 0.542
0.794 0.334 0.042
0.055 0.735 0.473
0.055 0.765 0.973
0.091 0.520 0.837
0.091 0.980 0.337
0.198 0.138 0.953
0.198 0.362 0.453
0.283 0.586 0.181
0.283 0.914 0.681
0.370 0.526 0.756
0.370 0.974 0.256
0.401 0.234 0.759
0.401 0.266 0.259
0.599 0.734 0.741
0.599 0.766 0.241
0.630 0.026 0.744
0.630 0.474 0.244
0.717 0.086 0.319
0.717 0.414 0.819
0.802 0.638 0.547
0.802 0.862 0.047
0.909 0.020 0.663
0.909 0.480 0.163
0.945 0.235 0.027
0.945 0.265 0.527
```

Most intense lines, 15 to 90 degrees two-theta, low angle first:
d [Å]	intensity
3.910	51.4
3.713	54.2
3.303	28.4
3.218	46.3
3.000	100.0
2.882	46.0
2.634	21.8
2.055	27.0
1.650	18.6
1.477	16.5